# 1
YbAlCu5: calculated powder XRD pattern (Cu Kα), based on a structure optimized by DFT (GGA-PBE).
Lines closer than 0.1° are merged.

Most intense lines, 10 to 90 degrees two-theta, in order of rising 2θ:
2θ (°)	I/Imax	hkl
19.49	218	1 1 0
22.62	177	1 0 1
36.06	1000	2 1 1
36.21	249	0 0 2
39.58	553	2 2 0
41.45	503	1 1 2
46.07	707	3 0 1
65.03	174	2 1 3
72.09	175	3 0 3
73.09	225	3 3 2
83.08	188	5 2 1
86.47	165	5 1 2

Cell and atoms:
```
data_YbAlCu5
_symmetry_space_group_name_H-M 'I -4 m 2'
_symmetry_Int_Tables_number 119
_symmetry_space_group_name_Hall 'I -4 -2'
_cell_length_a 6.440
_cell_length_b 6.440
_cell_length_c 4.962
_cell_angle_alpha 90.00
_cell_angle_beta 90.00
_cell_angle_gamma 90.00
loop_
_atom_site_label
_atom_site_fract_x
_atom_site_fract_y
_atom_site_fract_z
_atom_site_occupancy
Yb1 0.000 0.000 0.000 1
Al1 0.000 0.500 0.750 1
Cu1 0.000 0.500 0.250 1
Cu2 0.192 0.192 0.500 1
```

***

# 2
HoInSnHg: calculated powder XRD pattern (Cu Kα), based on a structure optimized by DFT (GGA-PBE).
Lines closer than 0.1° are merged.

Most intense lines, 10 to 90 degrees two-theta, in order of rising 2θ:
2θ (°)	I/Imax	hkl
27.12	40	1 0 1
33.60	1000	1 1 1
37.71	183	0 0 2
39.50	161	0 2 0
39.76	159	2 0 0
55.75	119	0 2 2
55.95	118	2 0 2
57.29	110	2 2 0
65.47	147	1 1 3
67.90	132	1 3 1
68.26	130	3 1 1
70.64	118	2 2 2

Cell and atoms:
```
data_HoInSnHg
_symmetry_space_group_name_H-M 'P m m m'
_symmetry_Int_Tables_number 47
_cell_length_a 4.534
_cell_length_b 4.563
_cell_length_c 4.771
_cell_angle_alpha 90.00
_cell_angle_beta 90.00
_cell_angle_gamma 90.00
loop_
_symmetry_equiv_pos_as_xyz
'x,y,z'
'-x,-y,-z'
'-x,-y,z'
'x,y,-z'
'x,-y,-z'
'-x,y,z'
'-x,y,-z'
'x,-y,z'
loop_
_atom_site_label
_atom_site_fract_x
_atom_site_fract_y
_atom_site_fract_z
_atom_site_occupancy
Ho1 0.000 0.000 0.000 1
In1 0.000 0.500 0.500 1
Sn1 0.500 0.500 0.000 1
Hg1 0.500 0.000 0.500 1
```

***

# 3
Tl12Se6Br: calculated powder XRD pattern (Cu Kα), based on a structure optimized by DFT (GGA-PBE).
Lines closer than 0.1° are merged.

Most intense lines, 10 to 90 degrees two-theta, in order of rising 2θ:
2θ (°)	I/Imax	hkl
13.06	101	0 1 2
15.19	102	1 1 0
23.80	103	2 1 1
25.27	664	3 -2 2
29.30	133	0 0 6
30.49	1000	2 1 4
33.93	109	3 -2 5
40.93	425	1 4 0
46.28	289	3 -2 8
51.12	154	1 4 6
51.88	194	6 -4 4
68.11	149	3 5 4

Cell and atoms:
```
data_Tl12Se6Br
_symmetry_space_group_name_H-M 'R -3'
_symmetry_Int_Tables_number 148
_symmetry_space_group_name_Hall '-R 3'
_cell_length_a 11.6687
_cell_length_b 11.6687
_cell_length_c 18.2912
_cell_angle_alpha 90.00
_cell_angle_beta 90.00
_cell_angle_gamma 120.00
loop_
_atom_site_label
_atom_site_fract_x
_atom_site_fract_y
_atom_site_fract_z
_atom_site_occupancy
Tl1 0.0398 0.2179 0.4179 1
Tl2 0.0431 0.2533 0.9037 1
Se1 0.0412 0.2416 0.6746 1
Br1 0.0000 0.0000 0.0000 1
```

***

# 4
Ba4SrHg: calculated powder XRD pattern (Cu Kα), based on a structure optimized by DFT (GGA-PBE).
Lines closer than 0.1° are merged.

Most intense lines, 10 to 90 degrees two-theta, in order of rising 2θ:
2θ (°)	I/Imax	hkl
10.15	85	0 0 2
25.79	1000	1 0 3
29.19	194	1 0 4
29.39	517	1 1 0
33.10	96	1 0 5
37.37	143	1 0 6
39.34	91	1 1 5
42.05	195	2 0 0
49.99	328	2 1 3
60.95	98	2 2 0
69.12	90	3 1 0
89.05	87	2 1 13

Cell and atoms:
```
data_Ba4SrHg
_symmetry_space_group_name_H-M 'P 4/m m m'
_symmetry_Int_Tables_number 123
_symmetry_space_group_name_Hall '-P 4 2'
_cell_length_a 4.298
_cell_length_b 4.298
_cell_length_c 17.423
_cell_angle_alpha 90.00
_cell_angle_beta 90.00
_cell_angle_gamma 90.00
loop_
_atom_site_label
_atom_site_fract_x
_atom_site_fract_y
_atom_site_fract_z
_atom_site_occupancy
Ba1 0.000 0.000 0.114 1
Ba2 0.500 0.500 0.315 1
Sr1 0.000 0.000 0.500 1
Hg1 0.500 0.500 0.000 1
```